Structure and simulated powder diffractogram of Ce2AlVO6 (the PBE+U geometry in Alexandria; a wavelength of 1.5418 Å).
Kinematic intensities with the Lorentz-polarization factor, no thermal factor.

Structure:
Unit cell a=5.4202 b=5.6193 c=9.4523 alpha=90.00 beta=124.99 gamma=90.00
Sites, in units of the cell vectors:
Ce 0.2369 0.0548 0.2501
Ce 0.2369 0.4452 0.7501
Ce 0.7631 0.5548 0.2499
Ce 0.7631 0.9452 0.7499
Al 0.0000 0.0000 0.5000
Al 0.0000 0.5000 0.0000
V 0.5000 0.0000 0.0000
V 0.5000 0.5000 0.5000
O 0.1330 0.2118 0.9472
O 0.1330 0.2882 0.4472
O 0.2396 0.6883 0.9506
O 0.2396 0.8117 0.4506
O 0.3354 0.0298 0.7372
O 0.3354 0.4702 0.2372
O 0.6646 0.5298 0.7628
O 0.6646 0.9702 0.2628
O 0.7604 0.1883 0.5494
O 0.7604 0.3117 0.0494
O 0.8670 0.7118 0.5528
O 0.8670 0.7882 0.0528

The 6 most intense peaks (2θ from 10° to 90°), in order of rising 2θ:
d (Å)  2theta  I_rel  (hkl)
3.901  22.79  33  1 1 -1
2.810  31.85  21  0 2 0
2.748  32.58  100  1 1 -3
2.710  33.05  25  2 0 -2
1.951  46.56  22  2 2 -2
1.572  58.74  23  3 1 -5